Diffraction record for Dy4Ho5Pu. The X-ray powder pattern is calculated, not measured: it uses the PBE geometry in Alexandria and Cu Kα, 1.54184 Å.

Structural model:
a b c (Å): 17.6431 4.9076 8.5881
angles (deg): 90.00 117.55 90.00
Space group C2/m (No. 12)
One atom of each set of equivalent atoms:
Dy1 0.0284 0.0000 0.2808 x4
Dy2 0.1756 0.5000 0.4272 x4
Ho1 0.0000 0.5000 0.0000 x2
Ho2 0.1650 0.0000 0.7116 x4
Ho3 0.1699 0.0000 0.1194 x4
Pu1 0.0000 0.5000 0.5000 x2

Principal peaks in the range 2θ from 10° to 90°, sorted by position:
hkl  d_spacing  2θ (°)  Rel. int.
3 1 0  3.574  24.92  17
3 1 1  2.901  30.82  17
5 1 -1  2.862  31.26  29
1 1 2  2.772  32.29  100
5 1 -2  2.721  32.91  92
6 0 0  2.607  34.40  41
0 2 0  2.454  36.62  43
4 0 -4  2.146  42.10  17
6 2 0  1.787  51.13  32
5 3 -2  1.463  63.61  20

Diffraction record for Dy3Ho6Pu. The X-ray powder pattern is calculated, not measured: it uses the PBE geometry in Alexandria and Cu Kα, 1.54184 Å.

Structural model:
a b c (Å): 9.1693 10.0372 6.6703
angles (deg): 90.00 90.04 90.00
Space group C2 (No. 5)
One atom of each set of equivalent atoms:
Dy1 0.0000 0.0000 0.0000 x2
Dy2 0.2030 0.8964 0.3323 x4
Ho1 0.0000 0.1627 0.5000 x2
Ho2 0.0000 0.3250 0.0000 x2
Ho3 0.1592 0.7287 0.7541 x4
Ho4 0.1975 0.5794 0.1993 x4
Pu1 0.0000 0.4704 0.5000 x2

Principal peaks in the range 2θ from 10° to 90°, sorted by position:
hkl  d_spacing  2θ (°)  Rel. int.
2 2 1  3.018  29.59  34
1 1 -2  2.992  29.86  45
3 1 0  2.924  30.58  39
1 3 1  2.843  31.46  100
2 0 2  2.697  33.22  52
3 1 1  2.678  33.46  16
3 3 1  2.138  42.28  20
1 3 -3  1.815  50.26  15
2 4 3  1.564  59.07  20
0 6 2  1.495  62.06  15

Diffraction record for Dy4HoPuS8. The X-ray powder pattern is calculated, not measured: it uses the PBE geometry in Alexandria and Cu Kα, 1.54184 Å.

Structural model:
a b c (Å): 8.0945 8.0945 19.7912
angles (deg): 90.00 90.00 120.00
Space group R3m (No. 160, hexagonal axes)
One atom of each set of equivalent atoms:
Dy1 0.0000 0.0000 0.0000 x3
Dy2 0.1686 0.3371 0.2080 x9
Ho1 0.0000 0.0000 0.3766 x3
Pu1 0.0000 0.0000 0.7504 x3
S1 0.0000 0.0000 0.1329 x3
S2 0.0000 0.0000 0.6142 x3
S3 0.0303 0.5152 0.1285 x9
S4 0.1775 0.3549 0.9563 x9

Principal peaks in the range 2θ from 10° to 90°, sorted by position:
hkl  d_spacing  2θ (°)  Rel. int.
1 1 0  4.045  21.98  33
0 1 5  3.449  25.83  100
2 0 2  3.303  27.00  12
0 2 4  2.860  31.27  11
3 0 0  2.335  38.55  15
1 2 5  2.202  40.99  44
2 2 0  2.022  44.82  53
3 1 5  1.745  52.45  15
4 1 3  1.490  62.33  22
6 0 0  1.168  82.60  13

Diffraction record for Dy3Ho2Tm6Pu. The X-ray powder pattern is calculated, not measured: it uses the PBE geometry in Alexandria and Cu Kα, 1.54184 Å.

Structural model:
a b c (Å): 6.0597 10.4976 11.5439
angles (deg): 90.00 100.08 90.00
Space group C2/m (No. 12)
One atom of each set of equivalent atoms:
Dy1 0.0000 0.0000 0.0000 x2
Dy2 0.0000 0.3327 0.0000 x4
Ho1 0.0000 0.1666 0.5000 x4
Tm1 0.2473 0.3353 0.7479 x8
Tm2 0.2469 0.5000 0.2520 x4
Pu1 0.0000 0.5000 0.5000 x2

Principal peaks in the range 2θ from 10° to 90°, sorted by position:
hkl  d_spacing  2θ (°)  Rel. int.
1 3 1  2.855  31.33  100
0 0 4  2.841  31.49  33
2 0 2  2.470  36.38  67
0 6 0  1.749  52.29  24
1 3 5  1.743  52.50  24
4 0 0  1.491  62.29  33
2 0 6  1.486  62.51  14
2 6 2  1.428  65.37  12
4 6 0  1.135  85.56  12
3 3 7  1.103  88.70  11

Diffraction record for DyHo3Rh3. The X-ray powder pattern is calculated, not measured: it uses the PBE geometry in Alexandria and Cu Kα, 1.54184 Å.

Structural model:
a b c (Å): 9.7283 9.7840 6.6822
angles (deg): 90.00 90.08 90.00
Space group C2/m (No. 12)
One atom of each set of equivalent atoms:
Dy1 0.2488 0.0000 0.0008 x4
Ho1 0.0000 0.2424 0.0000 x4
Ho2 0.0000 0.2457 0.5000 x4
Ho3 0.2451 0.0000 0.5008 x4
Rh1 0.0000 0.0000 0.2504 x4
Rh2 0.2500 0.2500 0.2507 x8

Principal peaks in the range 2θ from 10° to 90°, sorted by position:
hkl  d_spacing  2θ (°)  Rel. int.
1 1 0  6.899  12.83  12
2 2 0  3.449  25.83  15
0 4 0  2.446  36.74  26
4 0 0  2.432  36.96  26
2 2 2  2.400  37.48  100
4 4 0  1.725  53.10  18
2 6 2  1.403  66.65  18
6 2 2  1.398  66.94  18
4 0 -4  1.379  67.98  13
4 4 4  1.200  79.95  11

Diffraction record for Dy6Ho2Ru. The X-ray powder pattern is calculated, not measured: it uses the PBE geometry in Alexandria and Cu Kα, 1.54184 Å.

Structural model:
a b c (Å): 8.6101 3.6688 8.6835
angles (deg): 90.00 93.39 90.00
Space group P2/m (No. 10)
One atom of each set of equivalent atoms:
Dy1 0.0365 0.0000 0.1985 x2
Dy2 0.2317 0.5000 0.5527 x2
Dy3 0.4443 0.0000 0.2811 x2
Ho1 0.3005 0.5000 0.9668 x2
Ru1 0.0000 0.0000 0.5000 x1

Principal peaks in the range 2θ from 10° to 90°, sorted by position:
hkl  d_spacing  2θ (°)  Rel. int.
1 1 -1  3.169  28.16  18
2 0 2  2.965  30.14  34
0 1 2  2.800  31.96  46
2 1 0  2.790  32.08  100
3 0 -1  2.770  32.32  21
1 1 3  2.169  41.64  18
0 2 0  1.834  49.70  13
3 1 -3  1.821  50.10  25
2 1 4  1.680  54.61  17
1 1 -5  1.557  59.37  12

Diffraction record for DyHo3Ru3. The X-ray powder pattern is calculated, not measured: it uses the PBE geometry in Alexandria and Cu Kα, 1.54184 Å.

Structural model:
a b c (Å): 9.5958 9.6295 6.7162
angles (deg): 90.00 90.06 90.00
Space group C2/m (No. 12)
One atom of each set of equivalent atoms:
Dy1 0.2479 0.0000 0.0007 x4
Ho1 0.0000 0.2439 0.0000 x4
Ho2 0.0000 0.2458 0.5000 x4
Ho3 0.2455 0.0000 0.5006 x4
Ru1 0.0000 0.0000 0.2504 x4
Ru2 0.2500 0.2500 0.2504 x8

Principal peaks in the range 2θ from 10° to 90°, sorted by position:
hkl  d_spacing  2θ (°)  Rel. int.
1 1 0  6.797  13.02  11
2 2 0  3.399  26.22  16
0 4 0  2.407  37.35  25
4 0 0  2.399  37.49  25
2 2 2  2.389  37.66  100
4 4 0  1.699  53.96  18
2 6 2  1.386  67.57  18
6 2 2  1.383  67.75  18
4 0 -4  1.377  68.10  13
4 4 4  1.194  80.40  11

Diffraction record for Dy2Ho5Ru5. The X-ray powder pattern is calculated, not measured: it uses the PBE geometry in Alexandria and Cu Kα, 1.54184 Å.

Structural model:
a b c (Å): 8.3470 4.8158 13.4497
angles (deg): 90.00 101.86 90.00
Space group C2/m (No. 12)
One atom of each set of equivalent atoms:
Dy1 0.0719 0.0000 0.2161 x4
Ho1 0.0000 0.5000 0.5000 x2
Ho2 0.1903 0.5000 0.0711 x4
Ho3 0.2152 0.0000 0.6457 x4
Ru1 0.0000 0.0000 0.0000 x2
Ru2 0.1157 0.5000 0.8468 x4
Ru3 0.1452 0.0000 0.4354 x4

Principal peaks in the range 2θ from 10° to 90°, sorted by position:
hkl  d_spacing  2θ (°)  Rel. int.
1 1 2  3.354  26.57  15
2 0 -4  2.868  31.19  20
2 0 3  2.721  32.92  19
1 1 4  2.456  36.59  40
0 2 0  2.409  37.33  100
2 0 4  2.337  38.53  21
4 0 3  1.720  53.27  14
4 2 3  1.400  66.85  14
6 0 -2  1.391  67.33  18
0 4 0  1.204  79.60  11

Diffraction record for Dy3HoS4. The X-ray powder pattern is calculated, not measured: it uses the PBE geometry in Alexandria and Cu Kα, 1.54184 Å.

Structural model:
a b c (Å): 5.5154 5.5154 5.5154
angles (deg): 90.00 90.00 90.00
Space group Pm-3m (No. 221)
One atom of each set of equivalent atoms:
Dy1 0.0000 0.0000 0.5000 x3
Ho1 0.5000 0.5000 0.5000 x1
S1 0.0000 0.0000 0.0000 x1
S2 0.0000 0.5000 0.5000 x3

Principal peaks in the range 2θ from 10° to 90°, sorted by position:
hkl  d_spacing  2θ (°)  Rel. int.
1 1 1  3.184  28.02  83
2 0 0  2.758  32.47  100
2 2 0  1.950  46.58  72
3 1 1  1.663  55.24  40
2 2 2  1.592  57.92  25
4 0 0  1.379  67.99  12
3 3 1  1.265  75.07  16
4 2 0  1.233  77.38  32
4 2 2  1.126  86.43  25

Diffraction record for DyHo2S4. The X-ray powder pattern is calculated, not measured: it uses the PBE geometry in Alexandria and Cu Kα, 1.54184 Å.

Structural model:
a b c (Å): 3.7920 12.8613 13.0749
angles (deg): 90.00 90.00 90.00
Space group Cmcm (No. 63)
One atom of each set of equivalent atoms:
Dy1 0.0000 0.1268 0.2500 x4
Ho1 0.0000 0.3704 0.0697 x8
S1 0.0000 0.0000 0.0000 x4
S2 0.0000 0.2760 0.6221 x8
S3 0.0000 0.4719 0.2500 x4

Principal peaks in the range 2θ from 10° to 90°, sorted by position:
hkl  d_spacing  2θ (°)  Rel. int.
0 2 3  3.608  24.68  100
1 1 1  3.504  25.42  28
0 4 0  3.215  27.75  25
1 1 2  3.178  28.07  26
1 3 1  2.776  32.25  34
1 3 2  2.605  34.43  49
1 1 5  2.123  42.58  30
1 5 2  2.024  44.77  16
0 6 3  1.924  47.25  37
2 2 3  1.678  54.69  23

Diffraction record for Dy4HoS4. The X-ray powder pattern is calculated, not measured: it uses the PBE geometry in Alexandria and Cu Kα, 1.54184 Å.

Structural model:
a b c (Å): 5.4958 6.6901 6.6983
angles (deg): 80.39 65.86 65.93
Space group P-1 (No. 2)
One atom of each set of equivalent atoms:
Dy1 0.1026 0.0961 0.1984 x2
Dy2 0.3015 0.3014 0.5958 x2
Ho1 0.5000 0.5000 0.0000 x1
S1 0.1996 0.7026 0.3985 x2
S2 0.4020 0.8987 0.7975 x2

Principal peaks in the range 2θ from 10° to 90°, sorted by position:
hkl  d_spacing  2θ (°)  Rel. int.
1 2 1  3.161  28.23  100
2 1 1  2.748  32.59  34
0 1 2  2.733  32.77  67
2 0 -1  1.940  46.83  25
2 3 0  1.934  46.99  49
3 2 0  1.656  55.49  12
1 1 4  1.649  55.74  24
2 0 4  1.582  58.35  19
3 5 1  1.255  75.81  8
0 5 0  1.222  78.23  11

Diffraction record for DyHo4S7. The X-ray powder pattern is calculated, not measured: it uses the PBE geometry in Alexandria and Cu Kα, 1.54184 Å.

Structural model:
a b c (Å): 12.8088 3.7927 11.5779
angles (deg): 90.00 104.55 90.00
Space group Cm (No. 8)
One atom of each set of equivalent atoms:
Dy1 0.0000 0.0000 0.0000 x2
Ho1 0.1121 0.0000 0.4214 x2
Ho2 0.2236 0.0000 0.8421 x2
Ho3 0.3120 0.5000 0.2339 x2
Ho4 0.4120 0.0000 0.6087 x2
S1 0.0701 0.0000 0.6360 x2
S2 0.1120 0.5000 0.9203 x2
S3 0.1539 0.0000 0.2069 x2
S4 0.2711 0.5000 0.4723 x2
S5 0.3523 0.5000 0.7730 x2
S6 0.3700 0.0000 0.0689 x2
S7 0.4530 0.0000 0.3702 x2

Principal peaks in the range 2θ from 10° to 90°, sorted by position:
hkl  d_spacing  2θ (°)  Rel. int.
2 0 2  3.718  23.93  84
2 0 -3  3.627  24.54  100
1 1 1  3.379  26.38  33
4 0 -1  3.201  27.87  39
3 1 -1  2.827  31.65  38
3 1 -2  2.690  33.31  47
3 1 1  2.609  34.37  36
1 1 -4  2.300  39.16  25
1 1 4  2.142  42.18  28
5 1 0  2.075  43.62  27

Diffraction record for Dy3HoSc3S8. The X-ray powder pattern is calculated, not measured: it uses the PBE geometry in Alexandria and Cu Kα, 1.54184 Å.

Structural model:
a b c (Å): 7.5655 7.5655 18.7737
angles (deg): 90.00 90.00 120.00
Space group R-3m (No. 166, hexagonal axes)
One atom of each set of equivalent atoms:
Dy1 0.0000 0.5000 0.0000 x9
Ho1 0.0000 0.0000 0.5000 x3
Sc1 0.0000 0.5000 0.5000 x9
S1 0.0000 0.0000 0.2449 x6
S2 0.0121 0.5060 0.7522 x18

Principal peaks in the range 2θ from 10° to 90°, sorted by position:
hkl  d_spacing  2θ (°)  Rel. int.
1 0 1  6.186  14.32  48
1 1 3  3.235  27.57  29
2 0 2  3.093  28.87  35
0 2 4  2.686  33.35  100
2 1 1  2.455  36.60  13
2 0 8  1.908  47.67  35
2 2 0  1.891  48.11  34
4 0 4  1.547  59.80  17
2 2 12  1.206  79.51  15
2 4 4  1.197  80.17  15